(1)
# Eu2PbBr
Calculated X-ray powder pattern, Cu Kα (weighted mean of Kα1 and Kα2). Input: a DFT-relaxed cell (GGA-PBE, Alexandria).

Largest 12 diffraction maxima, in order of falling intensity, 10 to 90 degrees two-theta:
| 2θ/deg | d/Å | I (rel.) |
| --- | --- | --- |
| 27.6 | 3.228 | 100 |
| 38.0 | 2.370 | 43 |
| 41.0 | 2.203 | 35 |
| 62.4 | 1.487 | 20 |
| 50.1 | 1.820 | 20 |
| 66.7 | 1.403 | 17 |
| 72.6 | 1.302 | 13 |
| 57.1 | 1.614 | 13 |
| 45.0 | 2.016 | 9 |
| 11.0 | 8.064 | 9 |
| 66.5 | 1.406 | 8 |
| 23.6 | 3.770 | 6 |

Cell and atoms:
```
Eu2PbBr
1.0
2.2035 1.2722 8.0637
-2.2035 1.2722 8.0637
0.0000 -2.5443 8.0637
Eu Pb Br
2 1 1
Direct
0.2481 0.2481 0.2481
0.7519 0.7519 0.7519
0.0000 0.0000 0.0000
0.5000 0.5000 0.5000
```

(2)
# Eu2RuBr
Calculated X-ray powder pattern, Cu Kα (weighted mean of Kα1 and Kα2). Input: a DFT-relaxed cell (GGA-PBE, Alexandria).

Largest 12 diffraction maxima, in order of falling intensity, 10 to 90 degrees two-theta:
| 2θ/deg | d/Å | I (rel.) |
| --- | --- | --- |
| 33.8 | 2.653 | 100 |
| 36.0 | 2.497 | 47 |
| 63.3 | 1.470 | 32 |
| 51.8 | 1.766 | 16 |
| 59.0 | 1.566 | 14 |
| 11.0 | 8.041 | 12 |
| 42.3 | 2.135 | 10 |
| 71.1 | 1.327 | 8 |
| 45.1 | 2.010 | 8 |
| 87.3 | 1.117 | 8 |
| 86.1 | 1.130 | 7 |
| 25.2 | 3.531 | 7 |

Cell and atoms:
```
Eu2RuBr
1.0
3.5312 0.0000 0.0000
0.0000 3.5312 0.0000
0.0000 0.0000 8.0414
Eu Ru Br
2 1 1
Direct
0.0000 0.0000 0.2160
0.0000 0.0000 0.7840
0.5000 0.5000 0.0000
0.5000 0.5000 0.5000
```

(3)
# SrEu3Br
Calculated X-ray powder pattern, Cu Kα (weighted mean of Kα1 and Kα2). Input: a DFT-relaxed cell (GGA-PBE, Alexandria).

Largest 12 diffraction maxima, in order of falling intensity, 10 to 90 degrees two-theta:
| 2θ/deg | d/Å | I (rel.) |
| --- | --- | --- |
| 25.7 | 3.466 | 100 |
| 29.8 | 3.002 | 96 |
| 42.6 | 2.123 | 72 |
| 50.4 | 1.810 | 48 |
| 70.1 | 1.343 | 33 |
| 14.8 | 6.004 | 27 |
| 52.8 | 1.733 | 25 |
| 78.0 | 1.226 | 25 |
| 68.1 | 1.377 | 20 |
| 33.4 | 2.685 | 15 |
| 83.7 | 1.155 | 15 |
| 61.8 | 1.501 | 12 |

Cell and atoms:
```
SrEu3Br
1.0
6.0039 0.0000 0.0000
0.0000 6.0039 0.0000
0.0000 0.0000 6.0039
Sr Eu Br
1 3 1
Direct
0.0000 0.0000 0.0000
0.0000 0.5000 0.5000
0.5000 0.0000 0.5000
0.5000 0.5000 0.0000
0.5000 0.5000 0.5000
```

(4)
# BrF5
Calculated X-ray powder pattern, Cu Kα (weighted mean of Kα1 and Kα2). Input: a DFT-relaxed cell (GGA-PBE, Alexandria).

Largest 12 diffraction maxima, in order of falling intensity, 10 to 90 degrees two-theta:
| 2θ/deg | d/Å | I (rel.) |
| --- | --- | --- |
| 20.8 | 4.266 | 100 |
| 26.0 | 3.421 | 24 |
| 23.4 | 3.800 | 21 |
| 25.6 | 3.482 | 20 |
| 42.4 | 2.132 | 19 |
| 44.7 | 2.028 | 19 |
| 42.8 | 2.113 | 16 |
| 17.2 | 5.154 | 14 |
| 23.2 | 3.832 | 11 |
| 33.2 | 2.698 | 11 |
| 59.0 | 1.565 | 9 |
| 29.2 | 3.059 | 8 |

Cell and atoms:
```
BrF5
1.0
3.4820 -3.8316 0.0000
3.4820 3.8316 0.0000
0.0000 0.0000 7.6009
Br F
2 10
Direct
0.1702 0.8298 0.5000
0.8298 0.1702 0.0000
0.0064 0.9936 0.3179
0.0799 0.4422 0.9887
0.3265 0.6735 0.3313
0.3512 0.6488 0.6520
0.4422 0.0799 0.4887
0.5578 0.9201 0.9887
0.6488 0.3512 0.1520
0.6735 0.3265 0.8313
0.9201 0.5578 0.4887
0.9936 0.0064 0.8179
```